1.
The following is a simulated XRD peak list of Ca4Pa2O9. It was derived from a PBE-relaxed structure, using CuKα.

Top 6 peaks for 10 to 80 degrees two-theta, most intense first:
2θ 17.38, I = 100; 2θ 28.97, I = 87; 2θ 30.34, I = 57; 2θ 53.06, I = 37; 2θ 42.45, I = 36; 2θ 46.83, I = 22

Structural model:
```
Ca4Pa2O9
1.0
5.893 0.000 0.000
-2.946 5.103 0.000
0.000 0.000 15.465
Ca Pa O
8 4 18
direct
0.333 0.667 0.192 Ca
0.333 0.667 0.480 Ca
0.333 0.667 0.692 Ca
0.333 0.667 0.980 Ca
0.667 0.333 0.020 Ca
0.667 0.333 0.308 Ca
0.667 0.333 0.520 Ca
0.667 0.333 0.808 Ca
0.000 0.000 0.142 Pa
0.000 0.000 0.358 Pa
0.000 0.000 0.642 Pa
0.000 0.000 0.858 Pa
0.000 0.270 0.250 O
0.000 0.730 0.750 O
0.038 0.348 0.587 O
0.038 0.689 0.087 O
0.270 0.000 0.250 O
0.270 0.270 0.750 O
0.311 0.348 0.087 O
0.311 0.962 0.587 O
0.348 0.038 0.913 O
0.348 0.311 0.413 O
0.652 0.689 0.587 O
0.652 0.962 0.087 O
0.689 0.038 0.413 O
0.689 0.652 0.913 O
0.730 0.000 0.750 O
0.730 0.730 0.250 O
0.962 0.311 0.913 O
0.962 0.652 0.413 O
```

***

2.
The following is a simulated XRD peak list of Ca3Pa4O12. It was derived from a PBE-relaxed structure, using CuKα.

Top 6 peaks for 10 to 80 degrees two-theta, most intense first:
2θ 29.62, I = 100; 2θ 20.82, I = 82; 2θ 52.55, I = 49; 2θ 47.67, I = 41; 2θ 42.38, I = 26; 2θ 69.71, I = 19

Structural model:
```
Ca3Pa4O12
1.0
-4.266 4.266 4.266
4.266 -4.266 4.266
4.266 4.266 -4.266
Ca Pa O
3 4 12
direct
0.000 0.500 0.500 Ca
0.500 0.000 0.500 Ca
0.500 0.500 0.000 Ca
0.000 0.000 0.500 Pa
0.000 0.500 0.000 Pa
0.500 0.000 0.000 Pa
0.500 0.500 0.500 Pa
0.110 0.799 0.311 O
0.201 0.311 0.513 O
0.201 0.689 0.890 O
0.311 0.110 0.799 O
0.311 0.513 0.201 O
0.487 0.799 0.689 O
0.513 0.201 0.311 O
0.689 0.487 0.799 O
0.689 0.890 0.201 O
0.799 0.311 0.110 O
0.799 0.689 0.487 O
0.890 0.201 0.689 O
```

***

3.
The following is a simulated XRD peak list of CaPa4O10. It was derived from a PBE-relaxed structure, using CuKα.

Top 6 peaks for 10 to 80 degrees two-theta, most intense first:
2θ 28.37, I = 100; 2θ 47.11, I = 33; 2θ 56.06, I = 31; 2θ 32.95, I = 23; 2θ 47.29, I = 17; 2θ 55.76, I = 15

Structural model:
```
CaPa4O10
1.0
-1.922 1.922 13.688
1.922 -1.922 13.688
1.922 1.922 -13.688
Ca Pa O
1 4 10
direct
0.000 0.000 0.000 Ca
0.199 0.199 0.000 Pa
0.404 0.404 0.000 Pa
0.596 0.596 0.000 Pa
0.801 0.801 0.000 Pa
0.055 0.555 0.500 O
0.151 0.651 0.500 O
0.250 0.750 0.500 O
0.349 0.849 0.500 O
0.445 0.945 0.500 O
0.555 0.055 0.500 O
0.651 0.151 0.500 O
0.750 0.250 0.500 O
0.849 0.349 0.500 O
0.945 0.445 0.500 O
```